Diffraction record for La2Pm2SmTm. The X-ray powder pattern is simulated, not measured: it uses a PBE-relaxed structure and Cu Ka.
Intensities are scaled so that the largest is 1000.

Cell and atoms:
a b c (Å): 7.132 5.769 9.974
angles (deg): 90.00 90.00 90.00
Space group Pmma (No. 51)
Inequivalent atoms, fractional coordinates:
La 0.000 0.000 0.000 x2
La 0.250 0.500 0.179 x2
Pm 0.250 0.000 0.332 x2
Pm 0.250 0.500 0.835 x2
Sm 0.250 0.000 0.656 x2
Tm 0.000 0.500 0.500 x2

Top 6 peaks for 2θ from 10° to 90°, by angle:
| d/Å | 2theta | I (rel.) | hkl |
| --- | --- | --- | --- |
| 2.902 | 30.81 | 927 | 2 1 1 |
| 2.882 | 31.03 | 1000 | 0 2 0 |
| 2.045 | 44.30 | 340 | 2 2 2 |
| 1.668 | 55.07 | 356 | 2 3 1 |
| 1.664 | 55.20 | 193 | 0 3 3 |
| 1.516 | 61.12 | 289 | 4 2 0 |

***

Diffraction record for Cs2Cu3SnF12. The X-ray powder pattern is simulated, not measured: it uses a PBE-relaxed structure and Cu Ka.
Intensities are scaled so that the largest is 1000.

Cell and atoms:
a b c (Å): 7.1753 7.1753 20.9809
angles (deg): 90.00 90.00 120.00
Space group R-3m (No. 166, hexagonal axes)
Inequivalent atoms, fractional coordinates:
Cs 0.0000 0.0000 0.1085 x6
Cu 0.0000 0.5000 0.0000 x9
Sn 0.0000 0.0000 0.5000 x3
F 0.0649 0.5324 0.1134 x18
F 0.0698 0.5349 0.3505 x18

Top 6 peaks for 2θ from 10° to 90°, by angle:
| d/Å | 2theta | I (rel.) | hkl |
| --- | --- | --- | --- |
| 3.588 | 24.82 | 358 | 1 1 0 |
| 3.478 | 25.62 | 1000 | 0 1 5 |
| 3.192 | 27.95 | 795 | 1 1 3 |
| 2.979 | 30.00 | 443 | 2 0 2 |
| 2.004 | 45.25 | 387 | 2 0 8 |
| 1.794 | 50.91 | 361 | 2 2 0 |

***

Diffraction record for TbNd2Ru. The X-ray powder pattern is simulated, not measured: it uses a PBE-relaxed structure and Cu Ka.
Intensities are scaled so that the largest is 1000.

Cell and atoms:
a b c (Å): 7.376 9.682 6.409
angles (deg): 90.00 90.00 90.00
Space group Pnma (No. 62)
Inequivalent atoms, fractional coordinates:
Tb 0.043 0.250 0.145 x4
Nd 0.177 0.066 0.671 x8
Ru 0.115 0.750 0.457 x4

Top 6 peaks for 2θ from 10° to 90°, by angle:
| d/Å | 2theta | I (rel.) | hkl |
| --- | --- | --- | --- |
| 3.035 | 29.43 | 492 | 2 1 1 |
| 2.936 | 30.45 | 1000 | 2 2 0 |
| 2.882 | 31.03 | 896 | 0 3 1 |
| 2.812 | 31.82 | 780 | 1 1 2 |
| 2.685 | 33.38 | 570 | 1 3 1 |
| 2.668 | 33.59 | 822 | 2 2 1 |

***

Diffraction record for LiZn2Au4. The X-ray powder pattern is simulated, not measured: it uses a PBE-relaxed structure and Cu Ka.
Intensities are scaled so that the largest is 1000.

Cell and atoms:
a b c (Å): 7.753 10.018 13.143
angles (deg): 90.00 90.00 90.00
Space group F222 (No. 22)
Inequivalent atoms, fractional coordinates:
Li 0.000 0.000 0.000 x4
Li 0.250 0.250 0.250 x4
Zn 0.125 0.125 0.625 x16
Au 0.037 0.135 0.821 x16
Au 0.212 0.116 0.429 x16

Top 6 peaks for 2θ from 10° to 90°, by angle:
| d/Å | 2theta | I (rel.) | hkl |
| --- | --- | --- | --- |
| 3.565 | 24.98 | 1000 | 1 1 3 |
| 3.339 | 26.70 | 926 | 2 0 2 |
| 2.512 | 35.74 | 679 | 1 3 3 |
| 2.504 | 35.86 | 932 | 0 4 0 |
| 2.458 | 36.55 | 844 | 3 1 1 |
| 2.416 | 37.22 | 729 | 1 1 5 |

***

Diffraction record for NaAl6Ag12. The X-ray powder pattern is simulated, not measured: it uses a PBE-relaxed structure and Cu Ka.
Intensities are scaled so that the largest is 1000.

Cell and atoms:
a b c (Å): 11.9496 11.9496 8.9293
angles (deg): 90.00 90.00 120.00
Space group R-3m (No. 166, hexagonal axes)
Inequivalent atoms, fractional coordinates:
Na 0.0000 0.0000 0.0000 x3
Al 0.0633 0.5317 0.2429 x18
Ag 0.0000 0.3832 0.5000 x18
Ag 0.0833 0.1665 0.2932 x18

Top 6 peaks for 2θ from 10° to 90°, by angle:
| d/Å | 2theta | I (rel.) | hkl |
| --- | --- | --- | --- |
| 4.099 | 21.68 | 589 | 0 1 2 |
| 2.733 | 32.77 | 1000 | 1 3 1 |
| 2.664 | 33.64 | 446 | 1 1 3 |
| 2.294 | 39.27 | 412 | 3 2 1 |
| 2.255 | 39.99 | 779 | 0 3 3 |
| 1.878 | 48.48 | 405 | 5 0 2 |

***

Diffraction record for ZnNiRh6. The X-ray powder pattern is simulated, not measured: it uses a PBE-relaxed structure and Cu Ka.
Intensities are scaled so that the largest is 1000.

Cell and atoms:
a b c (Å): 8.520 3.807 7.628
angles (deg): 90.00 116.59 90.00
Space group C2/m (No. 12)
Inequivalent atoms, fractional coordinates:
Zn 0.000 0.000 0.000 x2
Ni 0.000 0.000 0.500 x2
Rh 0.001 0.500 0.744 x4
Rh 0.250 0.000 0.376 x4
Rh 0.250 0.000 0.873 x4

Top 6 peaks for 2θ from 10° to 90°, by angle:
| d/Å | 2theta | I (rel.) | hkl |
| --- | --- | --- | --- |
| 2.200 | 41.03 | 1000 | 1 1 2 |
| 1.906 | 47.72 | 320 | 4 0 0 |
| 1.903 | 47.79 | 160 | 0 2 0 |
| 1.347 | 69.82 | 296 | 4 2 0 |
| 1.149 | 84.26 | 235 | 5 1 2 |
| 1.148 | 84.37 | 118 | 1 3 2 |

***

Diffraction record for Cs2Np2InSe6. The X-ray powder pattern is simulated, not measured: it uses a PBE-relaxed structure and Cu Ka.
Intensities are scaled so that the largest is 1000.

Cell and atoms:
a b c (Å): 7.279 12.622 8.859
angles (deg): 90.00 105.46 90.00
Space group C2/m (No. 12)
Inequivalent atoms, fractional coordinates:
Cs 0.000 0.165 0.000 x4
Np 0.000 0.333 0.500 x4
In 0.000 0.000 0.500 x2
Se 0.226 0.500 0.678 x4
Se 0.227 0.168 0.680 x8

Top 6 peaks for 2θ from 10° to 90°, by angle:
| d/Å | 2theta | I (rel.) | hkl |
| --- | --- | --- | --- |
| 8.539 | 10.36 | 862 | 0 0 1 |
| 3.171 | 28.14 | 1000 | 1 3 1 |
| 3.154 | 28.30 | 512 | 2 0 -2 |
| 2.586 | 34.68 | 202 | 1 3 2 |
| 2.400 | 37.47 | 318 | 1 3 -3 |
| 2.102 | 43.04 | 668 | 0 6 0 |

***

Diffraction record for V2Cr6Ge. The X-ray powder pattern is simulated, not measured: it uses a PBE-relaxed structure and Cu Ka.
Intensities are scaled so that the largest is 1000.

Cell and atoms:
a b c (Å): 11.911 4.117 4.782
angles (deg): 90.00 110.78 90.00
Space group C2/m (No. 12)
Inequivalent atoms, fractional coordinates:
V 0.114 0.000 0.073 x4
Cr 0.060 0.500 0.277 x4
Cr 0.166 0.500 0.827 x4
Cr 0.227 0.000 0.626 x4
Ge 0.000 0.000 0.500 x2

Top 6 peaks for 2θ from 10° to 90°, by angle:
| d/Å | 2theta | I (rel.) | hkl |
| --- | --- | --- | --- |
| 2.058 | 43.99 | 511 | 0 2 0 |
| 2.045 | 44.28 | 1000 | 5 1 -1 |
| 1.455 | 63.97 | 148 | 4 2 1 |
| 1.438 | 64.86 | 71 | 6 0 -3 |
| 1.186 | 81.07 | 211 | 5 3 -1 |
| 1.185 | 81.18 | 70 | 9 1 0 |

***

Diffraction record for Th3CoTeC. The X-ray powder pattern is simulated, not measured: it uses a PBE-relaxed structure and Cu Ka.
Intensities are scaled so that the largest is 1000.

Cell and atoms:
a b c (Å): 8.788 3.879 8.847
angles (deg): 90.00 107.91 90.00
Space group P2_1/m (No. 11)
Inequivalent atoms, fractional coordinates:
Th 0.037 0.250 0.275 x2
Th 0.314 0.750 0.132 x2
Th 0.354 0.750 0.550 x2
Co 0.064 0.250 0.949 x2
Te 0.299 0.250 0.826 x2
C 0.340 0.250 0.350 x2

Top 6 peaks for 2θ from 10° to 90°, by angle:
| d/Å | 2theta | I (rel.) | hkl |
| --- | --- | --- | --- |
| 3.365 | 26.49 | 290 | 1 0 2 |
| 3.107 | 28.73 | 278 | 1 1 1 |
| 2.886 | 30.99 | 637 | 2 1 -1 |
| 2.849 | 31.40 | 1000 | 0 1 2 |
| 2.787 | 32.11 | 466 | 3 0 0 |
| 2.347 | 38.35 | 283 | 1 1 -3 |

***

Diffraction record for Ag3I2Cl. The X-ray powder pattern is simulated, not measured: it uses a PBE-relaxed structure and Cu Ka.
Intensities are scaled so that the largest is 1000.

Cell and atoms:
a b c (Å): 4.5584 4.5584 11.1161
angles (deg): 90.00 90.00 120.00
Space group P3m1 (No. 156)
Inequivalent atoms, fractional coordinates:
Ag 0.0000 0.0000 0.0000 x1
Ag 0.3333 0.6667 0.6475 x1
Ag 0.6667 0.3333 0.2989 x1
I 0.0000 0.0000 0.7449 x1
I 0.3333 0.6667 0.3919 x1
Cl 0.6667 0.3333 0.0623 x1

Top 6 peaks for 2θ from 10° to 90°, by angle:
| d/Å | 2theta | I (rel.) | hkl |
| --- | --- | --- | --- |
| 3.717 | 23.94 | 1000 | 1 0 1 |
| 2.279 | 39.54 | 384 | 1 1 0 |
| 2.272 | 39.66 | 390 | 1 0 4 |
| 1.942 | 46.78 | 336 | 0 2 1 |
| 1.609 | 57.25 | 128 | 0 2 4 |
| 1.315 | 71.78 | 190 | 3 0 0 |

***

Diffraction record for K2CdReO6. The X-ray powder pattern is simulated, not measured: it uses a PBE-relaxed structure and Cu Ka.
Intensities are scaled so that the largest is 1000.

Cell and atoms:
a b c (Å): 10.222 6.007 5.925
angles (deg): 90.00 125.42 90.00
Space group C2 (No. 5)
Inequivalent atoms, fractional coordinates:
K 0.250 0.000 0.250 x4
Cd 0.000 0.498 0.000 x2
Re 0.000 0.011 0.500 x2
O 0.000 0.202 0.260 x4
O 0.000 0.744 0.300 x4
O 0.225 0.999 0.726 x4

Top 6 peaks for 2θ from 10° to 90°, by angle:
| d/Å | 2theta | I (rel.) | hkl |
| --- | --- | --- | --- |
| 4.218 | 21.06 | 496 | 1 1 -1 |
| 4.165 | 21.33 | 244 | 2 0 0 |
| 3.004 | 29.74 | 213 | 0 2 0 |
| 2.964 | 30.16 | 1000 | 2 0 -2 |
| 2.109 | 42.88 | 262 | 2 2 -2 |
| 1.711 | 53.56 | 234 | 5 1 -3 |

***

Diffraction record for HfZr2Sc3. The X-ray powder pattern is simulated, not measured: it uses a PBE-relaxed structure and Cu Ka.
Intensities are scaled so that the largest is 1000.

Cell and atoms:
a b c (Å): 6.480 4.497 9.677
angles (deg): 90.00 90.05 90.00
Space group P2_1/m (No. 11)
Inequivalent atoms, fractional coordinates:
Hf 0.116 0.250 0.250 x2
Zr 0.114 0.250 0.583 x2
Zr 0.114 0.250 0.916 x2
Sc 0.365 0.750 0.084 x2
Sc 0.365 0.750 0.415 x2
Sc 0.368 0.750 0.750 x2

Top 6 peaks for 2θ from 10° to 90°, by angle:
| d/Å | 2theta | I (rel.) | hkl |
| --- | --- | --- | --- |
| 6.480 | 13.66 | 585 | 1 0 0 |
| 2.629 | 34.10 | 993 | 2 1 0 |
| 2.621 | 34.21 | 1000 | 0 1 3 |
| 2.286 | 39.42 | 660 | 2 0 3 |
| 2.249 | 40.10 | 319 | 0 2 0 |
| 1.603 | 57.49 | 422 | 2 2 3 |

***

Diffraction record for CeTh2BC2. The X-ray powder pattern is simulated, not measured: it uses a PBE-relaxed structure and Cu Ka.
Intensities are scaled so that the largest is 1000.

Cell and atoms:
a b c (Å): 5.586 10.907 3.691
angles (deg): 90.00 90.00 90.00
Space group Pnnm (No. 58)
Inequivalent atoms, fractional coordinates:
Ce 0.000 0.000 0.000 x2
Th 0.063 0.294 0.500 x4
B 0.000 0.500 0.000 x2
C 0.190 0.597 0.000 x4

Top 6 peaks for 2θ from 10° to 90°, by angle:
| d/Å | 2theta | I (rel.) | hkl |
| --- | --- | --- | --- |
| 5.453 | 16.25 | 264 | 0 2 0 |
| 3.497 | 25.47 | 217 | 0 1 1 |
| 3.047 | 29.31 | 537 | 1 3 0 |
| 2.793 | 32.05 | 220 | 2 0 0 |
| 2.682 | 33.42 | 1000 | 1 2 1 |
| 1.878 | 48.47 | 250 | 0 5 1 |